[1]
Computed PXRD pattern of Y4Ho4Mg for Cu Kα, from the PBE geometry in Alexandria.

Cell and atoms:
```
data_Y4Ho4Mg
_symmetry_space_group_name_H-M 'I 4/m m m'
_symmetry_Int_Tables_number 139
_symmetry_space_group_name_Hall '-I 4 2'
_cell_length_a 10.565
_cell_length_b 10.565
_cell_length_c 4.980
_cell_angle_alpha 90.00
_cell_angle_beta 90.00
_cell_angle_gamma 90.00
loop_
_atom_site_label
_atom_site_fract_x
_atom_site_fract_y
_atom_site_fract_z
Y1 0.166 0.166 0.000
Ho1 0.000 0.336 0.500
Mg1 0.000 0.000 0.500
```

The 8 most intense peaks (10° ≤ 2θ ≤ 90°), in order of rising 2θ:
(1 1 0), 11.85 deg, I = 19.5
(2 1 1), 26.00 deg, I = 12.1
(3 0 1), 31.10 deg, I = 100.0
(3 3 0), 36.07 deg, I = 50.3
(6 0 0), 51.93 deg, I = 35.2
(3 0 3), 61.78 deg, I = 41.5
(6 3 3), 84.87 deg, I = 17.0
(3 3 4), 87.62 deg, I = 16.0

[2]
Computed PXRD pattern of Ti4VIn3 for Cu Kα, from the PBE geometry in Alexandria.

Cell and atoms:
```
data_Ti4VIn3
_symmetry_space_group_name_H-M 'P 4/m m m'
_symmetry_Int_Tables_number 123
_symmetry_space_group_name_Hall '-P 4 2'
_cell_length_a 3.167
_cell_length_b 3.167
_cell_length_c 14.549
_cell_angle_alpha 90.00
_cell_angle_beta 90.00
_cell_angle_gamma 90.00
loop_
_atom_site_label
_atom_site_fract_x
_atom_site_fract_y
_atom_site_fract_z
Ti1 0.000 0.000 0.097
Ti2 0.000 0.000 0.365
V1 0.500 0.500 0.000
In1 0.500 0.500 0.232
In2 0.500 0.500 0.500
```

The 8 most intense peaks (10° ≤ 2θ ≤ 90°), in order of rising 2θ:
(0 0 4), 24.47 deg, I = 11.7
(1 0 0), 28.17 deg, I = 16.3
(1 0 3), 33.80 deg, I = 18.3
(1 0 4), 37.66 deg, I = 100.0
(1 1 0), 40.27 deg, I = 48.9
(2 0 0), 58.26 deg, I = 15.5
(1 1 7), 60.80 deg, I = 10.4
(2 1 4), 71.47 deg, I = 27.4

[3]
Computed PXRD pattern of ErReI for Cu Kα, from the PBE geometry in Alexandria.

Cell and atoms:
```
data_ErReI
_symmetry_space_group_name_H-M 'P -1'
_symmetry_Int_Tables_number 2
_cell_length_a 4.098
_cell_length_b 4.202
_cell_length_c 10.550
_cell_angle_alpha 86.90
_cell_angle_beta 79.00
_cell_angle_gamma 89.99
loop_
_symmetry_equiv_pos_as_xyz
'x,y,z'
'-x,-y,-z'
loop_
_atom_site_label
_atom_site_fract_x
_atom_site_fract_y
_atom_site_fract_z
Er1 0.074 0.271 0.349
Re1 0.471 0.243 0.558
I1 0.335 0.274 0.836
```

The 8 most intense peaks (10° ≤ 2θ ≤ 90°), in order of rising 2θ:
(1 0 -2), 30.65 deg, I = 100.0
(1 0 3), 30.77 deg, I = 53.9
(1 -1 1), 30.97 deg, I = 64.4
(-1 1 1), 32.73 deg, I = 58.4
(1 1 -1), 33.68 deg, I = 75.6
(0 1 -4), 42.05 deg, I = 43.5
(0 2 0), 43.12 deg, I = 50.7
(2 0 1), 44.22 deg, I = 61.4